Diffraction record for La8Tc2Ge. The X-ray powder pattern is simulated, not measured: it uses the GGA-PBE geometry in Alexandria and a wavelength of 1.5418 Å.
Peak positions follow from Bragg's law for the DFT cell and can differ from measured ones.

Structural model:
```
data_La8Tc2Ge
_cell_length_a 8.150
_cell_length_b 8.150
_cell_length_c 5.768
_cell_angle_alpha 98.70
_cell_angle_beta 98.70
_cell_angle_gamma 113.53
_symmetry_space_group_name_H-M 'P 1'
_symmetry_Int_Tables_number 1
loop_
_symmetry_equiv_pos_as_xyz
'x,y,z'
loop_
_atom_site_label
_atom_site_type_symbol
_atom_site_fract_x
_atom_site_fract_y
_atom_site_fract_z
_atom_site_occupancy
La1 La 0.000 0.000 0.000 1
La2 La 0.056 0.307 0.635 1
La3 La 0.142 0.619 0.199 1
La4 La 0.307 0.056 0.635 1
La5 La 0.453 0.705 0.761 1
La6 La 0.619 0.142 0.199 1
La7 La 0.705 0.453 0.761 1
La8 La 0.760 0.760 0.397 1
Tc1 Tc 0.078 0.680 0.697 1
Tc2 Tc 0.680 0.078 0.697 1
Ge1 Ge 0.380 0.380 0.201 1
```

Principal peaks in the range 2θ from 10° to 90°, in order of rising 2θ:
2theta  intensity
29.63  51
30.79  79
31.69  100
32.29  23
33.57  59
34.94  25
36.94  40
37.12  29
44.21  25
51.43  30